Entry 1:
Starting from the GGA-PBE geometry in Alexandria, the XRD peak list of Tb8Ho3Mg was computed for λ = 1.5418 Å (Cu Kα).
Neutral-atom scattering factors, no anomalous dispersion.

Structure:
```
Tb8Ho3Mg
1.0
7.1726 0.0000 0.0000
0.0000 5.6336 0.0000
-1.8002 0.0000 9.3125
Tb Ho Mg
8 3 1
Direct
0.0000 0.0000 0.0000
0.0550 0.5000 0.2286
0.1678 0.0000 0.6745
0.3312 0.0000 0.3385
0.4965 0.0000 0.9991
0.5535 0.5000 0.2256
0.7192 0.5000 0.8840
0.8832 0.5000 0.5575
0.3921 0.5000 0.5583
0.6647 0.0000 0.6674
0.8326 0.0000 0.3331
0.2216 0.5000 0.8922
```

Principal peaks in the range 2θ = 10–80°, by angle:
2θ = 28.75°, intensity 241; 2θ = 31.77°, intensity 245; 2θ = 32.94°, intensity 1000; 2θ = 43.37°, intensity 159; 2θ = 50.94°, intensity 195; 2θ = 57.34°, intensity 207; 2θ = 61.29°, intensity 223; 2θ = 62.01°, intensity 162; 2θ = 69.08°, intensity 40; 2θ = 73.89°, intensity 33

***

Entry 2:
Starting from the GGA-PBE geometry in Alexandria, the XRD peak list of Tb3Ho3Mg was computed for λ = 1.5418 Å (Cu Kα).
Neutral-atom scattering factors, no anomalous dispersion.

Structure:
```
Tb3Ho3Mg
1.0
9.3745 0.0000 0.0000
0.0000 5.6071 0.0000
-4.6844 0.0000 8.1264
Tb Ho Mg
6 6 2
Direct
0.0566 0.2500 0.2420
0.1851 0.2500 0.9431
0.2421 0.7500 0.1850
0.7579 0.2500 0.8150
0.8149 0.7500 0.0569
0.9434 0.7500 0.7580
0.1028 0.7500 0.4775
0.3751 0.7500 0.8972
0.4773 0.2500 0.3751
0.5227 0.7500 0.6249
0.6249 0.2500 0.1028
0.8972 0.2500 0.5225
0.3332 0.2500 0.6666
0.6668 0.7500 0.3334
```

Principal peaks in the range 2θ = 10–80°, by angle:
2θ = 19.23°, intensity 83; 2θ = 27.11°, intensity 46; 2θ = 29.09°, intensity 247; 2θ = 31.92°, intensity 249; 2θ = 33.27°, intensity 1000; 2θ = 43.73°, intensity 164; 2θ = 51.56°, intensity 193; 2θ = 57.75°, intensity 208; 2θ = 61.94°, intensity 223; 2θ = 62.76°, intensity 160

***

Entry 3:
Starting from the GGA-PBE geometry in Alexandria, the XRD peak list of Tb2Ho12Mg was computed for λ = 1.5418 Å (Cu Kα).
Neutral-atom scattering factors, no anomalous dispersion.

Structure:
```
Tb2Ho12Mg
1.0
3.4813 -5.6112 0.0000
3.4813 5.6112 0.0000
-3.1939 0.0000 23.9135
Tb Ho Mg
4 24 2
Direct
0.0233 0.0233 0.2659
0.4762 0.4762 0.7130
0.5238 0.5238 0.2870
0.9767 0.9767 0.7341
0.0397 0.5473 0.3270
0.0683 0.5044 0.1944
0.1259 0.1259 0.1071
0.1561 0.1561 0.5807
0.1619 0.6419 0.5561
0.2059 0.6609 0.0662
0.3302 0.3302 0.4307
0.3391 0.7941 0.9338
0.3513 0.3513 0.8501
0.3581 0.8381 0.4439
0.4527 0.9603 0.6730
0.4956 0.9317 0.8056
0.5044 0.0683 0.1944
0.5473 0.0397 0.3270
0.6419 0.1619 0.5561
0.6487 0.6487 0.1499
0.6609 0.2059 0.0662
0.6698 0.6698 0.5693
0.7941 0.3391 0.9338
0.8381 0.3581 0.4439
0.8439 0.8439 0.4193
0.8741 0.8741 0.8929
0.9317 0.4956 0.8056
0.9603 0.4527 0.6730
0.2772 0.2772 0.9832
0.7228 0.7228 0.0168
```

Principal peaks in the range 2θ = 10–80°, by angle:
2θ = 29.88°, intensity 333; 2θ = 30.64°, intensity 397; 2θ = 31.90°, intensity 725; 2θ = 31.98°, intensity 316; 2θ = 32.17°, intensity 1000; 2θ = 32.39°, intensity 369; 2θ = 33.98°, intensity 365; 2θ = 35.86°, intensity 158; 2θ = 44.27°, intensity 169; 2θ = 45.79°, intensity 289

***

Entry 4:
Starting from the GGA-PBE geometry in Alexandria, the XRD peak list of TbHo6Mg2 was computed for λ = 1.5418 Å (Cu Kα).
Neutral-atom scattering factors, no anomalous dispersion.

Structure:
```
TbHo6Mg2
1.0
3.3007 1.9056 7.2161
-3.3007 1.9056 7.2161
0.0000 -3.8113 7.2161
Tb Ho Mg
1 6 2
Direct
0.0000 0.0000 0.0000
0.0531 0.5161 0.5976
0.2155 0.7611 0.6609
0.5161 0.5976 0.0531
0.5976 0.0531 0.5161
0.6609 0.2155 0.7611
0.7611 0.6609 0.2155
0.1394 0.1394 0.1394
0.2720 0.2720 0.2720
```

Principal peaks in the range 2θ = 10–80°, by angle:
2θ = 17.54°, intensity 188; 2θ = 24.67°, intensity 565; 2θ = 29.77°, intensity 434; 2θ = 31.57°, intensity 1000; 2θ = 32.39°, intensity 280; 2θ = 32.93°, intensity 250; 2θ = 35.52°, intensity 207; 2θ = 36.91°, intensity 327; 2θ = 37.71°, intensity 409; 2θ = 43.09°, intensity 205

***

Entry 5:
Starting from the GGA-PBE geometry in Alexandria, the XRD peak list of TbHo4Mg3 was computed for λ = 1.5418 Å (Cu Kα).
Neutral-atom scattering factors, no anomalous dispersion.

Structure:
```
TbHo4Mg3
1.0
3.7813 0.0000 0.0000
0.0000 5.4242 0.0000
0.0000 0.0000 10.9786
Tb Ho Mg
1 4 3
Direct
0.0000 0.0000 0.0000
0.5000 0.0000 0.2623
0.5000 0.0000 0.7377
0.5000 0.5000 0.0000
0.5000 0.5000 0.5000
0.0000 0.0000 0.5000
0.0000 0.5000 0.2515
0.0000 0.5000 0.7485
```

Principal peaks in the range 2θ = 10–80°, by angle:
2θ = 23.05°, intensity 271; 2θ = 23.53°, intensity 132; 2θ = 32.63°, intensity 254; 2θ = 33.03°, intensity 255; 2θ = 33.17°, intensity 1000; 2θ = 47.11°, intensity 183; 2θ = 58.57°, intensity 183; 2θ = 59.08°, intensity 191; 2θ = 59.37°, intensity 107; 2θ = 69.63°, intensity 114

***

Entry 6:
Starting from the GGA-PBE geometry in Alexandria, the XRD peak list of Tb6HoMg5 was computed for λ = 1.5418 Å (Cu Kα).
Neutral-atom scattering factors, no anomalous dispersion.

Structure:
```
Tb6HoMg5
1.0
5.3912 0.0000 0.0000
0.0000 7.6934 0.0000
-2.7028 0.0000 8.1455
Tb Ho Mg
6 1 5
Direct
0.0000 0.2389 0.0000
0.0000 0.7611 0.0000
0.3326 0.2472 0.6602
0.3326 0.7528 0.6602
0.6674 0.2472 0.3398
0.6674 0.7528 0.3398
0.5000 0.5000 0.0000
0.1601 0.5000 0.3252
0.1637 0.0000 0.3349
0.5000 0.0000 0.0000
0.8363 0.0000 0.6651
0.8399 0.5000 0.6748
```

Principal peaks in the range 2θ = 10–80°, by angle:
2θ = 23.12°, intensity 136; 2θ = 23.25°, intensity 270; 2θ = 33.02°, intensity 1000; 2θ = 33.24°, intensity 198; 2θ = 47.26°, intensity 72; 2θ = 47.53°, intensity 144; 2θ = 58.88°, intensity 149; 2θ = 58.97°, intensity 149; 2θ = 59.25°, intensity 149; 2θ = 69.26°, intensity 114

***

Entry 7:
Starting from the GGA-PBE geometry in Alexandria, the XRD peak list of Tb3Ho8Mg was computed for λ = 1.5418 Å (Cu Kα).
Neutral-atom scattering factors, no anomalous dispersion.

Structure:
```
Tb3Ho8Mg
1.0
9.4347 0.0000 0.0000
0.0000 3.5619 0.0000
-2.8518 0.0000 11.0619
Tb Ho Mg
3 8 1
Direct
0.0000 0.0000 0.0000
0.2108 0.5000 0.5168
0.4770 0.5000 0.7907
0.1538 0.0000 0.7657
0.3234 0.5000 0.0306
0.5418 0.0000 0.5480
0.5965 0.5000 0.2968
0.6597 0.0000 0.0484
0.8211 0.5000 0.7458
0.8830 0.0000 0.4904
0.9511 0.5000 0.2434
0.2724 0.0000 0.2714
```

Principal peaks in the range 2θ = 10–80°, by angle:
2θ = 29.82°, intensity 340; 2θ = 30.12°, intensity 228; 2θ = 31.64°, intensity 292; 2θ = 32.38°, intensity 1000; 2θ = 32.70°, intensity 670; 2θ = 33.15°, intensity 327; 2θ = 33.48°, intensity 479; 2θ = 38.13°, intensity 304; 2θ = 55.25°, intensity 358; 2θ = 61.98°, intensity 318

***

Entry 8:
Starting from the GGA-PBE geometry in Alexandria, the XRD peak list of Tb2Ho2TmMg2 was computed for λ = 1.5418 Å (Cu Kα).
Neutral-atom scattering factors, no anomalous dispersion.

Structure:
```
Tb2Ho2TmMg2
1.0
2.7047 1.5615 7.9627
-2.7047 1.5615 7.9627
0.0000 -3.1231 7.9627
Tb Ho Tm Mg
2 2 1 2
Direct
0.1545 0.1545 0.1545
0.8455 0.8455 0.8455
0.4264 0.4264 0.4264
0.5736 0.5736 0.5736
0.0000 0.0000 0.0000
0.2895 0.2895 0.2895
0.7105 0.7105 0.7105
```

Principal peaks in the range 2θ = 10–80°, by angle:
2θ = 20.36°, intensity 186; 2θ = 26.65°, intensity 347; 2θ = 32.46°, intensity 952; 2θ = 33.12°, intensity 1000; 2θ = 47.06°, intensity 340; 2θ = 57.48°, intensity 310; 2θ = 58.75°, intensity 351; 2θ = 59.17°, intensity 190; 2θ = 77.73°, intensity 185; 2θ = 78.82°, intensity 200

***

Entry 9:
Starting from the GGA-PBE geometry in Alexandria, the XRD peak list of HoThMg6 was computed for λ = 1.5418 Å (Cu Kα).
Neutral-atom scattering factors, no anomalous dispersion.

Structure:
```
HoThMg6
1.0
5.2155 0.0000 0.0000
0.0000 3.3542 5.8244
0.0000 -3.3542 5.8244
Ho Th Mg
1 1 6
Direct
0.0000 0.0000 0.0000
0.5000 0.6656 0.6656
0.0000 0.0094 0.4954
0.0000 0.4945 0.4945
0.0000 0.4954 0.0094
0.5000 0.1691 0.1691
0.5000 0.1686 0.6599
0.5000 0.6599 0.1686
```

Principal peaks in the range 2θ = 10–80°, by angle:
2θ = 15.23°, intensity 420; 2θ = 22.90°, intensity 1000; 2θ = 26.54°, intensity 454; 2θ = 30.74°, intensity 215; 2θ = 34.39°, intensity 205; 2θ = 35.33°, intensity 861; 2θ = 43.96°, intensity 242; 2θ = 44.73°, intensity 337; 2θ = 46.79°, intensity 169; 2θ = 54.61°, intensity 188

***

Entry 10:
Starting from the GGA-PBE geometry in Alexandria, the XRD peak list of HoThMg was computed for λ = 1.5418 Å (Cu Kα).
Neutral-atom scattering factors, no anomalous dispersion.

Structure:
```
HoThMg
1.0
3.5464 0.0000 0.0000
0.0000 3.5464 0.0000
0.0000 0.0000 13.8142
Ho Th Mg
2 2 2
Direct
0.2500 0.2500 0.2302
0.7500 0.7500 0.7698
0.2500 0.2500 0.5902
0.7500 0.7500 0.4098
0.2500 0.2500 0.9336
0.7500 0.7500 0.0664
```

Principal peaks in the range 2θ = 10–80°, by angle:
2θ = 28.29°, intensity 424; 2θ = 31.85°, intensity 1000; 2θ = 32.40°, intensity 131; 2θ = 35.81°, intensity 394; 2θ = 39.13°, intensity 116; 2θ = 49.06°, intensity 169; 2θ = 51.54°, intensity 141; 2θ = 54.07°, intensity 184; 2θ = 59.55°, intensity 135; 2θ = 61.88°, intensity 306

***

Entry 11:
Starting from the GGA-PBE geometry in Alexandria, the XRD peak list of Ho3MgTl2 was computed for λ = 1.5418 Å (Cu Kα).
Neutral-atom scattering factors, no anomalous dispersion.

Structure:
```
Ho3MgTl2
1.0
3.7572 0.0000 0.0000
0.0000 3.7572 0.0000
0.0000 0.0000 11.3848
Ho Mg Tl
3 1 2
Direct
0.0000 0.0000 0.0000
0.0000 0.0000 0.3402
0.0000 0.0000 0.6598
0.5000 0.5000 0.5000
0.5000 0.5000 0.1749
0.5000 0.5000 0.8251
```

Principal peaks in the range 2θ = 10–80°, by angle:
2θ = 15.57°, intensity 63; 2θ = 24.96°, intensity 72; 2θ = 28.46°, intensity 101; 2θ = 33.56°, intensity 1000; 2θ = 33.74°, intensity 501; 2θ = 47.94°, intensity 88; 2θ = 48.46°, intensity 183; 2θ = 59.90°, intensity 183; 2θ = 60.23°, intensity 378; 2θ = 70.55°, intensity 113

***

Entry 12:
Starting from the GGA-PBE geometry in Alexandria, the XRD peak list of Ho2Mg3Tl was computed for λ = 1.5418 Å (Cu Kα).
Neutral-atom scattering factors, no anomalous dispersion.

Structure:
```
Ho2Mg3Tl
1.0
0.0000 5.1135 8.7970
3.4252 0.0000 8.7970
3.4252 5.1135 0.0000
Ho Mg Tl
4 6 2
Direct
0.2490 0.7510 0.7510
0.2500 0.2500 0.2500
0.7500 0.7500 0.7500
0.7510 0.2490 0.2490
0.1670 0.6675 0.3325
0.3325 0.8330 0.1670
0.3335 0.3335 0.6665
0.6665 0.6665 0.3335
0.6675 0.1670 0.8330
0.8330 0.3325 0.6675
0.1661 0.1661 0.8339
0.8339 0.8339 0.1661
```

Principal peaks in the range 2θ = 10–80°, by angle:
2θ = 16.37°, intensity 119; 2θ = 20.09°, intensity 173; 2θ = 21.76°, intensity 237; 2θ = 33.10°, intensity 1000; 2θ = 35.10°, intensity 220; 2θ = 35.28°, intensity 434; 2θ = 49.04°, intensity 234; 2θ = 49.25°, intensity 127; 2θ = 62.02°, intensity 103; 2θ = 65.73°, intensity 143

***

Entry 13:
Starting from the GGA-PBE geometry in Alexandria, the XRD peak list of HoMg3Tl4 was computed for λ = 1.5418 Å (Cu Kα).
Neutral-atom scattering factors, no anomalous dispersion.

Structure:
```
HoMg3Tl4
1.0
5.0640 0.0000 0.0000
0.0000 5.0640 0.0000
0.0000 0.0000 7.8238
Ho Mg Tl
1 3 4
Direct
0.0000 0.0000 0.0000
0.0000 0.0000 0.5000
0.5000 0.5000 0.0000
0.5000 0.5000 0.5000
0.0000 0.5000 0.2591
0.0000 0.5000 0.7409
0.5000 0.0000 0.2591
0.5000 0.0000 0.7409
```

Principal peaks in the range 2θ = 10–80°, by angle:
2θ = 22.73°, intensity 193; 2θ = 24.87°, intensity 317; 2θ = 33.94°, intensity 1000; 2θ = 35.45°, intensity 450; 2θ = 42.53°, intensity 156; 2θ = 46.43°, intensity 102; 2θ = 51.01°, intensity 162; 2θ = 59.74°, intensity 198; 2θ = 62.69°, intensity 352; 2θ = 71.43°, intensity 119